Eu5V3S6O7: theoretical XRD peak list (Cu Kα), based on a crystal structure in the Materials Project, relaxed with PBE+U.
No peak broadening, texture or thermal motion is included.

Principal peaks in the range 10° ≤ 2θ ≤ 80°, sorted by position:
2θ/deg	d_spacing	Rel. int.
25.88	3.443	56
26.39	3.377	80
26.65	3.345	52
29.49	3.029	73
32.99	2.715	40
34.60	2.592	100
35.85	2.505	63
36.04	2.492	59
47.14	1.928	53
48.76	1.867	46

a = 3.7350 Å, b = 18.0073 Å, c = 10.2131 Å
α = 90.00°, β = 90.00°, γ = 90.00°
Fractional positions:
Eu 0.2500 0.0867 0.0879
Eu 0.2500 0.2500 0.7229
Eu 0.2500 0.4133 0.0879
Eu 0.2500 0.6376 0.5301
Eu 0.2500 0.8624 0.5301
Eu 0.7500 0.1376 0.4699
Eu 0.7500 0.3624 0.4699
Eu 0.7500 0.5867 0.9121
Eu 0.7500 0.7500 0.2771
Eu 0.7500 0.9133 0.9121
V 0.2500 0.0562 0.7468
V 0.2500 0.4438 0.7468
V 0.2500 0.7500 0.8153
V 0.7500 0.2500 0.1847
V 0.7500 0.5562 0.2532
V 0.7500 0.9438 0.2532
S 0.2500 0.0148 0.3518
S 0.2500 0.2500 0.0328
S 0.2500 0.2500 0.3573
S 0.2500 0.4852 0.3518
S 0.2500 0.6321 0.1470
S 0.2500 0.8679 0.1470
S 0.7500 0.1321 0.8530
S 0.7500 0.3679 0.8530
S 0.7500 0.5148 0.6482
S 0.7500 0.7500 0.6427
S 0.7500 0.7500 0.9672
S 0.7500 0.9852 0.6482
O 0.2500 0.9997 0.8940
O 0.2500 0.1256 0.6125
O 0.2500 0.3744 0.6125
O 0.2500 0.5003 0.8940
O 0.2500 0.6489 0.7935
O 0.2500 0.7500 0.4072
O 0.2500 0.8511 0.7935
O 0.7500 0.0003 0.1060
O 0.7500 0.1489 0.2065
O 0.7500 0.2500 0.5928
O 0.7500 0.3511 0.2065
O 0.7500 0.4997 0.1060
O 0.7500 0.6256 0.3875
O 0.7500 0.8744 0.3875

---

SrLaTiMnO6: theoretical XRD peak list (Cu Kα), based on a crystal structure in the Materials Project, relaxed with PBE+U.
No peak broadening, texture or thermal motion is included.

Principal peaks in the range 10° ≤ 2θ ≤ 80°, sorted by position:
2θ/deg	d_spacing	Rel. int.
31.45	2.845	51
31.71	2.822	100
31.95	2.801	50
32.45	2.759	45
32.67	2.741	47
39.75	2.268	14
44.16	2.051	36
46.71	1.945	61
57.57	1.601	20
66.24	1.411	18

a = 5.4825 Å, b = 5.5190 Å, c = 16.4098 Å
α = 89.37°, β = 89.38°, γ = 89.96°
Fractional positions:
Sr 0.0000 0.0000 0.0000
Sr 0.0040 0.0001 0.5005
Sr 0.5046 0.5025 0.7507
Sr 0.5087 0.4980 0.2509
La 0.0069 0.9934 0.7490
La 0.0135 0.9925 0.2487
La 0.4979 0.4985 0.9986
La 0.5051 0.4886 0.4986
Ti 0.0045 0.4953 0.1250
Ti 0.0054 0.4978 0.6246
Ti 0.5046 0.0013 0.8744
Ti 0.5067 0.9929 0.3749
Mn 0.0019 0.4989 0.8754
Mn 0.0031 0.4955 0.3756
Mn 0.5020 0.9970 0.1251
Mn 0.5030 0.9971 0.6253
O 0.0088 0.5444 0.0088
O 0.2178 0.2083 0.1149
O 0.2208 0.7735 0.8587
O 0.2265 0.7652 0.3581
O 0.2360 0.2273 0.6097
O 0.2695 0.7310 0.6414
O 0.2726 0.2693 0.3943
O 0.2765 0.2775 0.8928
O 0.2837 0.7141 0.1388
O 0.4960 0.0459 0.2587
O 0.4962 0.9272 0.9930
O 0.4972 0.0502 0.7586
O 0.4982 0.9177 0.4929
O 0.7079 0.2842 0.1084
O 0.7229 0.2707 0.6079
O 0.7328 0.7265 0.8619
O 0.7384 0.7275 0.3606
O 0.7664 0.2313 0.3914
O 0.7706 0.2305 0.8900
O 0.7763 0.7753 0.6448
O 0.7882 0.7864 0.1419
O 0.9934 0.4235 0.2430
O 0.9979 0.4211 0.7427
O 0.9981 0.5502 0.5089

---

Mo3As4O16: theoretical XRD peak list (Cu Kα), based on a crystal structure in the Materials Project, relaxed with PBE+U.
No peak broadening, texture or thermal motion is included.

Principal peaks in the range 10° ≤ 2θ ≤ 80°, sorted by position:
2θ/deg	d_spacing	Rel. int.
10.21	8.660	93
16.39	5.408	40
21.03	4.224	53
21.88	4.061	53
22.69	3.919	79
24.99	3.563	52
27.31	3.266	100
30.60	2.921	51
33.86	2.647	99
35.70	2.515	62

a = 8.7661 Å, b = 4.9429 Å, c = 15.8677 Å
α = 90.00°, β = 98.94°, γ = 90.00°
Fractional positions:
Mo 0.0000 0.0000 0.0000
Mo 0.0000 0.5000 0.5000
Mo 0.2813 0.0521 0.6145
Mo 0.2813 0.4479 0.1145
Mo 0.7187 0.5521 0.8855
Mo 0.7187 0.9479 0.3855
As 0.1071 0.0266 0.3949
As 0.1071 0.4734 0.8949
As 0.3123 0.0145 0.8342
As 0.3123 0.4855 0.3342
As 0.6877 0.5145 0.6658
As 0.6877 0.9855 0.1658
As 0.8929 0.5266 0.1051
As 0.8929 0.9734 0.6051
O 0.0240 0.2487 0.1087
O 0.0240 0.2513 0.6087
O 0.0856 0.7118 0.0782
O 0.0856 0.7882 0.5782
O 0.1266 0.2416 0.8142
O 0.1266 0.2584 0.3142
O 0.1928 0.2191 0.4874
O 0.1928 0.2809 0.9874
O 0.2652 0.7028 0.8878
O 0.2652 0.7972 0.3878
O 0.2747 0.6006 0.2263
O 0.2747 0.8994 0.7263
O 0.3647 0.1384 0.1448
O 0.3647 0.3616 0.6448
O 0.4221 0.6305 0.0767
O 0.4221 0.8695 0.5767
O 0.5779 0.1305 0.4233
O 0.5779 0.3695 0.9233
O 0.6353 0.6384 0.3552
O 0.6353 0.8616 0.8552
O 0.7253 0.1006 0.2737
O 0.7253 0.3994 0.7737
O 0.7348 0.2028 0.6122
O 0.7348 0.2972 0.1122
O 0.8072 0.7191 0.0126
O 0.8072 0.7809 0.5127
O 0.8734 0.7416 0.6858
O 0.8734 0.7584 0.1858
O 0.9144 0.2118 0.4218
O 0.9144 0.2882 0.9218
O 0.9760 0.7487 0.3913
O 0.9760 0.7513 0.8913

---

Li3Fe3O8: theoretical XRD peak list (Cu Kα), based on a crystal structure in the Materials Project, relaxed with PBE+U.
No peak broadening, texture or thermal motion is included.

Principal peaks in the range 10° ≤ 2θ ≤ 80°, sorted by position:
2θ/deg	d_spacing	Rel. int.
18.83	4.713	99
21.28	4.176	44
21.50	4.133	24
31.34	2.854	36
35.50	2.528	100
35.89	2.502	37
43.80	2.067	31
49.18	1.853	25
58.51	1.577	26
63.32	1.469	43

a = 5.8790 Å, b = 5.8790 Å, c = 5.8790 Å
α = 121.91°, β = 118.71°, γ = 89.48°
Fractional positions:
Li 0.0000 0.0000 0.0000
Li 0.6079 0.3576 0.7498
Li 0.6079 0.8581 0.2502
Fe 0.0939 0.3509 0.7430
Fe 0.2132 0.7132 0.5000
Fe 0.6080 0.3509 0.2570
O 0.3366 0.5823 0.7543
O 0.3570 0.1238 0.7668
O 0.3570 0.5902 0.2332
O 0.3956 0.1380 0.2577
O 0.8280 0.5823 0.2457
O 0.8548 0.1292 0.2743
O 0.8548 0.5805 0.7257
O 0.8803 0.1380 0.7423

---

SrLaTaMnO6: theoretical XRD peak list (Cu Kα), based on a crystal structure in the Materials Project, relaxed with PBE+U.
No peak broadening, texture or thermal motion is included.

Principal peaks in the range 10° ≤ 2θ ≤ 80°, sorted by position:
2θ/deg	d_spacing	Rel. int.
18.66	4.756	19
19.00	4.671	17
30.48	2.933	23
31.02	2.883	100
31.33	2.855	25
44.28	2.046	24
44.60	2.032	14
54.50	1.684	15
55.51	1.655	17
55.60	1.653	17

a = 5.7096 Å, b = 5.8660 Å, c = 9.9239 Å
α = 90.00°, β = 125.02°, γ = 90.00°
Fractional positions:
Sr 0.0000 0.2115 0.0000
Sr 0.0000 0.7885 0.5000
La 0.4784 0.3042 0.4968
La 0.4784 0.6958 0.9968
Ta 0.7430 0.2455 0.2510
Ta 0.7430 0.7545 0.7510
Mn 0.2417 0.2434 0.7502
Mn 0.2417 0.7566 0.2502
O 0.0817 0.0621 0.2997
O 0.0817 0.9379 0.7997
O 0.4283 0.4466 0.2141
O 0.4283 0.5534 0.7141
O 0.5146 0.0423 0.7010
O 0.5146 0.9577 0.2010
O 0.5806 0.2816 0.0129
O 0.5806 0.7184 0.5129
O 0.8828 0.2214 0.4897
O 0.8828 0.7786 0.9897
O 0.9915 0.4792 0.7988
O 0.9915 0.5208 0.2988

---

AlWO3: theoretical XRD peak list (Cu Kα), based on a crystal structure in the Materials Project, relaxed with PBE+U.
No peak broadening, texture or thermal motion is included.

Principal peaks in the range 10° ≤ 2θ ≤ 80°, sorted by position:
2θ/deg	d_spacing	Rel. int.
20.44	4.345	49
23.63	3.765	82
30.11	2.968	22
31.44	2.846	100
36.67	2.451	27
42.55	2.124	17
48.36	1.882	41
49.74	1.833	21
53.01	1.728	28
63.10	1.473	18

a = 5.9360 Å, b = 8.6903 Å, c = 4.8708 Å
α = 90.00°, β = 90.00°, γ = 90.00°
Fractional positions:
Al 0.1577 0.2500 0.0413
Al 0.3423 0.7500 0.5413
Al 0.6577 0.2500 0.4587
Al 0.8423 0.7500 0.9587
W 0.0000 0.0000 0.5000
W 0.0000 0.5000 0.5000
W 0.5000 0.0000 0.0000
W 0.5000 0.5000 0.0000
O 0.0430 0.7500 0.6789
O 0.1819 0.0833 0.8484
O 0.1819 0.4167 0.8484
O 0.3181 0.5833 0.3484
O 0.3181 0.9167 0.3484
O 0.4570 0.2500 0.1789
O 0.5430 0.7500 0.8211
O 0.6819 0.0833 0.6516
O 0.6819 0.4167 0.6516
O 0.8181 0.5833 0.1516
O 0.8181 0.9167 0.1516
O 0.9570 0.2500 0.3211